[1]
Structure and calculated powder X-ray diffraction pattern of Hf2Zr3Bi3 (a PBE-relaxed structure; Cu Kα X-rays).

Top 10 peaks for 2θ = 5–70°, low angle first:
11.75°, I 51
25.52°, I 37
31.43°, I 22
35.05°, I 77
35.77°, I 82
37.02°, I 100
38.97°, I 20
46.14°, I 29
52.42°, I 24
57.23°, I 19

Structural model:
Cell: 8.696 8.696 5.855 Å, 90.00 90.00 120.00°
Fractional positions:
Hf 0.333 0.667 0.000
Hf 0.333 0.667 0.500
Hf 0.667 0.333 0.000
Hf 0.667 0.333 0.500
Zr 0.000 0.256 0.250
Zr 0.000 0.744 0.750
Zr 0.256 0.000 0.250
Zr 0.256 0.256 0.750
Zr 0.744 0.000 0.750
Zr 0.744 0.744 0.250
Bi 0.000 0.386 0.750
Bi 0.000 0.614 0.250
Bi 0.386 0.000 0.750
Bi 0.386 0.386 0.250
Bi 0.614 0.000 0.250
Bi 0.614 0.614 0.750


[2]
Structure and calculated powder X-ray diffraction pattern of EuEr2Pd (a PBE-relaxed structure; Cu Kα X-rays).

Top 10 peaks for 2θ = 5–70°, low angle first:
9.47°, I 21
28.72°, I 100
30.31°, I 25
34.21°, I 15
36.46°, I 17
41.43°, I 13
44.11°, I 7
45.30°, I 33
52.81°, I 16
54.51°, I 30

Structural model:
Cell: 4.004 4.004 28.023 Å, 90.00 90.00 120.00°
Fractional positions:
Eu 0.000 0.000 0.000
Eu 0.333 0.667 0.667
Eu 0.667 0.333 0.333
Er 0.000 0.000 0.222
Er 0.000 0.000 0.778
Er 0.333 0.667 0.445
Er 0.333 0.667 0.889
Er 0.667 0.333 0.111
Er 0.667 0.333 0.555
Pd 0.000 0.000 0.500
Pd 0.333 0.667 0.167
Pd 0.667 0.333 0.833


[3]
Structure and calculated powder X-ray diffraction pattern of DyAlCo2C (a PBE-relaxed structure; Cu Kα X-rays).

Top 10 peaks for 2θ = 5–70°, low angle first:
31.09°, I 27
34.56°, I 45
36.22°, I 46
36.32°, I 100
37.05°, I 55
43.18°, I 24
47.81°, I 25
61.42°, I 19
64.73°, I 24
66.35°, I 17

Structural model:
Cell: 5.653 5.653 6.838 Å, 90.00 90.00 140.67°
Fractional positions:
Dy 0.053 0.947 0.750
Dy 0.947 0.053 0.250
Al 0.227 0.773 0.250
Al 0.773 0.227 0.750
Co 0.340 0.660 0.559
Co 0.340 0.660 0.941
Co 0.660 0.340 0.059
Co 0.660 0.340 0.441
C 0.500 0.500 0.000
C 0.500 0.500 0.500


[4]
Structure and calculated powder X-ray diffraction pattern of Hg4AsS5 (a PBE-relaxed structure; Cu Kα X-rays).

Top 10 peaks for 2θ = 5–70°, low angle first:
14.11°, I 6
27.68°, I 100
31.88°, I 72
32.45°, I 33
45.70°, I 26
46.13°, I 50
54.27°, I 33
55.02°, I 18
57.16°, I 26
66.62°, I 8

Structural model:
Cell: 6.857 6.857 6.857 Å, 99.32 99.32 132.55°
Fractional positions:
Hg 0.103 0.698 0.801
Hg 0.302 0.103 0.405
Hg 0.698 0.897 0.595
Hg 0.897 0.302 0.199
As 0.492 0.492 0.000
S 0.076 0.076 0.000
S 0.226 0.423 0.626
S 0.423 0.796 0.196
S 0.600 0.226 0.804
S 0.796 0.600 0.374


[5]
Structure and calculated powder X-ray diffraction pattern of LiAlIn (a PBE-relaxed structure; Cu Kα X-rays).

Top 10 peaks for 2θ = 5–70°, low angle first:
11.71°, I 66
22.45°, I 74
28.00°, I 61
30.48°, I 51
38.16°, I 100
38.73°, I 28
40.73°, I 30
45.33°, I 22
48.47°, I 26
65.56°, I 19

Structural model:
Cell: 3.259 15.115 4.649 Å, 90.00 90.00 90.00°
Fractional positions:
Li 0.000 0.111 0.250
Li 0.000 0.889 0.750
Li 0.500 0.389 0.750
Li 0.500 0.611 0.250
Al 0.000 0.232 0.750
Al 0.000 0.768 0.250
Al 0.500 0.268 0.250
Al 0.500 0.732 0.750
In 0.000 0.437 0.250
In 0.000 0.563 0.750
In 0.500 0.063 0.750
In 0.500 0.937 0.250


[6]
Structure and calculated powder X-ray diffraction pattern of LiHo2CuO5 (a PBE-relaxed structure; Cu Kα X-rays).

Top 10 peaks for 2θ = 5–70°, low angle first:
16.13°, I 100
19.57°, I 38
31.17°, I 38
32.31°, I 67
32.58°, I 31
35.29°, I 92
45.72°, I 63
47.79°, I 34
61.98°, I 26
69.41°, I 20

Structural model:
Cell: 6.416 6.416 5.496 Å, 90.00 90.00 90.00°
Fractional positions:
Li 0.000 0.000 0.000
Li 0.500 0.500 0.000
Ho 0.176 0.324 0.500
Ho 0.324 0.824 0.500
Ho 0.676 0.176 0.500
Ho 0.824 0.676 0.500
Cu 0.000 0.500 0.000
Cu 0.500 0.000 0.000
O 0.000 0.000 0.500
O 0.135 0.635 0.244
O 0.135 0.635 0.756
O 0.365 0.135 0.244
O 0.365 0.135 0.756
O 0.500 0.500 0.500
O 0.635 0.865 0.244
O 0.635 0.865 0.756
O 0.865 0.365 0.244
O 0.865 0.365 0.756


[7]
Structure and calculated powder X-ray diffraction pattern of TmScZn17 (a PBE-relaxed structure; Cu Kα X-rays).

Top 10 peaks for 2θ = 5–70°, low angle first:
13.34°, I 14
28.66°, I 13
34.97°, I 36
36.01°, I 26
40.61°, I 57
40.80°, I 100
41.36°, I 34
41.71°, I 24
45.83°, I 51
66.68°, I 16

Structural model:
Cell: 6.737 6.737 6.737 Å, 82.53 82.53 82.53°
Fractional positions:
Tm 0.000 0.000 0.000
Sc 0.333 0.333 0.333
Zn 0.022 0.022 0.497
Zn 0.022 0.497 0.022
Zn 0.162 0.669 0.669
Zn 0.313 0.313 0.822
Zn 0.313 0.822 0.313
Zn 0.366 0.663 0.967
Zn 0.366 0.967 0.663
Zn 0.497 0.022 0.022
Zn 0.563 0.563 0.563
Zn 0.663 0.366 0.967
Zn 0.663 0.967 0.366
Zn 0.669 0.162 0.669
Zn 0.669 0.669 0.162
Zn 0.764 0.764 0.764
Zn 0.822 0.313 0.313
Zn 0.967 0.366 0.663
Zn 0.967 0.663 0.366


[8]
Structure and calculated powder X-ray diffraction pattern of Cu7Pt3 (a PBE-relaxed structure; Cu Kα X-rays).

Top 10 peaks for 2θ = 5–70°, low angle first:
6.59°, I 73
19.86°, I 5
25.16°, I 8
27.71°, I 5
36.30°, I 13
41.67°, I 100
43.11°, I 8
47.89°, I 31
49.69°, I 16
69.92°, I 5

Structural model:
Cell: 2.691 3.670 13.409 Å, 90.00 90.00 90.00°
Fractional positions:
Cu 0.000 0.000 0.000
Cu 0.000 0.000 0.187
Cu 0.000 0.000 0.376
Cu 0.500 0.500 0.094
Cu 0.500 0.500 0.281
Cu 0.500 0.500 0.699
Cu 0.500 0.500 0.906
Pt 0.000 0.000 0.595
Pt 0.000 0.000 0.804
Pt 0.500 0.500 0.476


[9]
Structure and calculated powder X-ray diffraction pattern of YTcHg (a PBE-relaxed structure; Cu Kα X-rays).

Top 10 peaks for 2θ = 5–70°, low angle first:
18.09°, I 14
26.44°, I 18
35.36°, I 61
37.20°, I 100
39.99°, I 9
50.87°, I 22
53.22°, I 7
56.29°, I 6
64.68°, I 39
68.25°, I 14

Structural model:
Cell: 3.590 3.590 9.806 Å, 90.00 90.00 90.00°
Fractional positions:
Y 0.000 0.000 0.000
Y 0.500 0.500 0.500
Tc 0.000 0.000 0.668
Tc 0.500 0.500 0.168
Hg 0.000 0.000 0.307
Hg 0.500 0.500 0.807


[10]
Structure and calculated powder X-ray diffraction pattern of ZrInSn (a PBE-relaxed structure; Cu Kα X-rays).

Top 10 peaks for 2θ = 5–70°, low angle first:
34.49°, I 24
34.74°, I 100
40.73°, I 3
42.76°, I 14
43.23°, I 14
56.05°, I 12
56.44°, I 11
57.54°, I 2
61.95°, I 15
62.43°, I 9

Structural model:
Cell: 4.185 15.604 4.230 Å, 90.00 90.00 90.00°
Fractional positions:
Zr 0.000 0.091 0.250
Zr 0.000 0.909 0.750
Zr 0.500 0.409 0.750
Zr 0.500 0.591 0.250
In 0.000 0.246 0.750
In 0.000 0.754 0.250
In 0.500 0.254 0.250
In 0.500 0.746 0.750
Sn 0.000 0.428 0.250
Sn 0.000 0.572 0.750
Sn 0.500 0.072 0.750
Sn 0.500 0.928 0.250


[11]
Structure and calculated powder X-ray diffraction pattern of Tl2SnSbS4 (a PBE-relaxed structure; Cu Kα X-rays).

Top 10 peaks for 2θ = 5–70°, low angle first:
21.40°, I 87
25.21°, I 100
26.34°, I 72
30.25°, I 39
30.64°, I 68
31.70°, I 40
37.68°, I 39
43.60°, I 31
47.88°, I 23
52.93°, I 28

Structural model:
Cell: 9.395 8.877 5.835 Å, 90.00 90.00 90.00°
Fractional positions:
Tl 0.203 0.139 0.000
Tl 0.297 0.861 0.500
Tl 0.703 0.861 0.500
Tl 0.797 0.139 0.000
Sn 0.000 0.416 0.534
Sn 0.500 0.584 0.034
Sb 0.000 0.712 0.029
Sb 0.500 0.288 0.529
S 0.000 0.434 0.989
S 0.000 0.718 0.460
S 0.216 0.245 0.495
S 0.284 0.755 0.995
S 0.500 0.282 0.960
S 0.500 0.566 0.489
S 0.716 0.755 0.995
S 0.784 0.245 0.495


[12]
Structure and calculated powder X-ray diffraction pattern of AcSnHPt (a PBE-relaxed structure; Cu Kα X-rays).

Top 10 peaks for 2θ = 5–70°, low angle first:
21.02°, I 7
22.76°, I 2
31.18°, I 100
36.84°, I 64
43.74°, I 2
46.48°, I 11
49.01°, I 29
60.73°, I 31
62.86°, I 28
66.37°, I 12

Structural model:
Cell: 4.879 4.879 3.907 Å, 90.00 90.00 120.00°
Fractional positions:
Ac 0.000 0.000 0.000
Sn 0.333 0.667 0.500
H 0.667 0.333 0.000
Pt 0.667 0.333 0.500


[13]
Structure and calculated powder X-ray diffraction pattern of Ac6TlAg (a PBE-relaxed structure; Cu Kα X-rays).

Top 10 peaks for 2θ = 5–70°, low angle first:
23.94°, I 8
28.82°, I 100
31.45°, I 46
37.01°, I 9
42.29°, I 8
45.08°, I 17
49.34°, I 15
52.29°, I 8
54.38°, I 35
59.69°, I 9

Structural model:
Cell: 5.689 5.689 19.429 Å, 90.00 90.00 90.00°
Fractional positions:
Ac 0.000 0.000 0.249
Ac 0.000 0.000 0.751
Ac 0.000 0.500 0.106
Ac 0.000 0.500 0.394
Ac 0.000 0.500 0.606
Ac 0.000 0.500 0.894
Ac 0.500 0.000 0.106
Ac 0.500 0.000 0.394
Ac 0.500 0.000 0.606
Ac 0.500 0.000 0.894
Ac 0.500 0.500 0.251
Ac 0.500 0.500 0.749
Tl 0.000 0.000 0.000
Tl 0.500 0.500 0.500
Ag 0.000 0.000 0.500
Ag 0.500 0.500 0.000


[14]
Structure and calculated powder X-ray diffraction pattern of TlGaTc2O8 (a PBE-relaxed structure; Cu Kα X-rays).

Top 10 peaks for 2θ = 5–70°, low angle first:
18.30°, I 22
19.95°, I 42
21.72°, I 91
22.14°, I 47
28.22°, I 100
29.29°, I 44
30.92°, I 60
33.96°, I 57
38.36°, I 34
44.28°, I 18

Structural model:
Cell: 5.315 5.315 8.101 Å, 93.26 93.26 65.87°
Fractional positions:
Tl 0.000 0.000 0.000
Ga 0.000 0.000 0.500
Tc 0.372 0.372 0.703
Tc 0.628 0.628 0.297
O 0.220 0.220 0.546
O 0.223 0.741 0.677
O 0.259 0.777 0.323
O 0.310 0.310 0.903
O 0.690 0.690 0.097
O 0.741 0.223 0.677
O 0.777 0.259 0.323
O 0.780 0.780 0.454